Structure and calculated PXRD pattern of LiP4WO12 (a cell relaxed with PBE+U; Cu Kα (λ = 1.5418 Å)).
Neutral-atom scattering factors, no anomalous dispersion.

Cell: 7.4610 7.4713 10.0294 Å, 109.63 98.43 110.48°
Fractional positions:
Li (0.0000, 0.0000, 0.0000)
Li (0.0491, 0.5539, 0.4972)
P (0.2797, 0.0747, 0.7744)
P (0.2948, 0.5041, 0.2244)
P (0.3296, 0.2655, 0.5546)
P (0.3413, 0.7774, 0.0574)
P (0.7051, 0.7728, 0.4433)
P (0.7183, 0.2847, 0.9410)
P (0.7518, 0.0437, 0.2750)
P (0.7671, 0.4772, 0.7222)
W (0.0221, 0.7736, 0.2495)
W (0.5220, 0.7747, 0.7496)
O (0.1152, 0.0281, 0.8401)
O (0.1550, 0.8091, 0.0763)
O (0.1825, 0.2747, 0.1566)
O (0.2170, 0.6462, 0.3231)
O (0.2195, 0.0896, 0.4047)
O (0.2483, 0.2061, 0.6806)
O (0.3167, 0.4702, 0.5730)
O (0.3251, 0.9004, 0.6756)
O (0.3442, 0.5864, 0.0957)
O (0.3634, 0.7324, 0.9061)
O (0.4890, 0.2504, 0.9054)
O (0.5184, 0.5644, 0.3201)
O (0.5280, 0.9860, 0.1810)
O (0.5594, 0.3004, 0.5894)
O (0.6824, 0.8193, 0.5945)
O (0.7033, 0.9637, 0.4047)
O (0.7183, 0.6478, 0.8218)
O (0.7307, 0.0800, 0.9237)
O (0.8001, 0.3445, 0.8149)
O (0.8247, 0.8975, 0.1749)
O (0.8270, 0.4591, 0.0915)
O (0.8682, 0.2726, 0.3425)
O (0.8910, 0.7397, 0.4244)
O (0.9326, 0.5302, 0.6581)

Main lines, sorted by position (2θ from 10° to 90°):
2θ/deg  d/Å  Rel. int.  hkl
13.9  6.352  100.0  1 0 -1
16.5  5.368  23.7  1 -1 1
18.8  4.726  66.0  1 0 1
19.7  4.507  30.3  0 0 2
20.9  4.257  18.9  1 1 -1
24.2  3.671  50.5  2 -1 0
28.1  3.176  22.6  2 0 -2
28.9  3.095  69.7  1 1 -3
30.0  2.979  29.5  -1 2 1
36.3  2.475  25.9  -3 1 1